# La4TlAg3
Calculated powder XRD pattern, Cu Ka. Input: a crystal structure in Alexandria, relaxed with PBE.
Neutral-atom scattering factors, no anomalous dispersion.

Crystal structure
Cell lengths 3.938, 5.003, 12.040 Å; angles 90.00, 90.00, 90.00 degrees
Space group Pmm2 (No. 25)
Unique sites:
La: 0.000 0.000 0.000 [1 per cell]
La: 0.000 0.500 0.280 [1 per cell]
La: 0.500 0.000 0.485 [1 per cell]
La: 0.500 0.500 0.792 [1 per cell]
Tl: 0.000 0.000 0.716 [1 per cell]
Ag: 0.000 0.500 0.558 [1 per cell]
Ag: 0.500 0.000 0.212 [1 per cell]
Ag: 0.500 0.500 0.068 [1 per cell]

The 10 most intense peaks (5 to 70 degrees two-theta), in order of rising 2θ:
- (0 0 4), 2θ = 29.7°, I 22.1
- (1 1 1), 2θ = 29.8°, I 100.0
- (1 0 3), 2θ = 31.8°, I 30.9
- (0 1 4), 2θ = 34.8°, I 43.6
- (0 2 0), 2θ = 35.9°, I 38.1
- (1 1 3), 2θ = 36.7°, I 65.5
- (2 0 0), 2θ = 46.1°, I 18.7
- (1 2 3), 2θ = 48.7°, I 19.6
- (2 1 4), 2θ = 59.0°, I 18.7
- (2 2 0), 2θ = 59.8°, I 17.0

=====

# SmPuTc
Calculated powder XRD pattern, Cu Ka. Input: a crystal structure in Alexandria, relaxed with PBE.
Neutral-atom scattering factors, no anomalous dispersion.

Crystal structure
Cell lengths 11.276, 4.105, 8.015 Å; angles 90.00, 127.97, 90.00 degrees
Space group C2/m (No. 12)
Unique sites:
Sm: 0.076 0.000 0.350 [4 per cell]
Pu: 0.187 0.500 0.099 [4 per cell]
Tc: 0.160 0.500 0.705 [4 per cell]

The 10 most intense peaks (5 to 70 degrees two-theta), in order of rising 2θ:
- (2 0 1), 2θ = 30.9°, I 58.3
- (4 0 -2), 2θ = 31.9°, I 47.3
- (1 1 -2), 2θ = 32.1°, I 100.0
- (3 1 -1), 2θ = 32.6°, I 83.5
- (2 0 -3), 2θ = 34.1°, I 45.9
- (4 0 -3), 2θ = 36.5°, I 32.7
- (3 1 0), 2θ = 37.4°, I 65.3
- (1 1 2), 2θ = 42.0°, I 34.9
- (0 2 0), 2θ = 44.1°, I 42.3
- (7 1 -3), 2θ = 61.9°, I 31.1